(1)
Structure and simulated PXRD pattern of Li4MnCo2O7 (the GGA+U geometry in the Materials Project; λ = 1.5418 Å (Cu Kα)).
No peak broadening, texture or thermal motion is included.

Top 10 peaks for 2θ from 5° to 70°, by angle:
2θ (°)  Rel. int.  hkl
8.49  13.1  0 0 1
18.40  100.0  0 1 2
34.50  19.4  1 1 -1
36.70  11.3  0 3 -1
36.72  11.6  1 -1 2
41.41  33.6  1 0 -3
44.63  26.1  1 0 4
44.75  25.3  0 4 1
62.42  15.5  0 0 7
62.61  8.0  2 0 1

Atomic structure:
```
data_Li4MnCo2O7
_chemical_formula_sum 'Li8 Mn2 Co4 O14'
_cell_length_a 2.9756
_cell_length_b 8.1029
_cell_length_c 10.6625
_cell_angle_alpha 78.34
_cell_angle_beta 85.80
_cell_angle_gamma 89.04
_space_group_name_H-M_alt 'P 1'
_space_group_IT_number 1
_space_group_name_Hall 'P 1'
loop_
_atom_site_label
_atom_site_type_symbol
_atom_site_fract_x
_atom_site_fract_y
_atom_site_fract_z
Li1 Li 0.0000 0.0000 0.0000
Li2 Li 0.0105 0.4920 0.9943
Li3 Li 0.1295 0.5621 0.7214
Li4 Li 0.2878 0.1406 0.4262
Li5 Li 0.4171 0.7040 0.1449
Li6 Li 0.5655 0.2943 0.8629
Li7 Li 0.7203 0.8514 0.5644
Li8 Li 0.8610 0.4226 0.2851
Mn1 Mn 0.1322 0.0716 0.7148
Mn2 Mn 0.5624 0.7717 0.8620
Co1 Co 0.2815 0.6407 0.4266
Co2 Co 0.4347 0.2212 0.1382
Co3 Co 0.7116 0.3571 0.5695
Co4 Co 0.8565 0.9265 0.2851
O1 O 0.0206 0.2413 0.0128
O2 O 0.0291 0.7494 0.9837
O3 O 0.1046 0.8212 0.7309
O4 O 0.1166 0.3151 0.7054
O5 O 0.2608 0.8789 0.4224
O6 O 0.3061 0.4011 0.4353
O7 O 0.4207 0.4336 0.1480
O8 O 0.4500 0.9768 0.1519
O9 O 0.5381 0.0226 0.8517
O10 O 0.5766 0.5485 0.8552
O11 O 0.6888 0.5964 0.5600
O12 O 0.7348 0.1140 0.5739
O13 O 0.8345 0.1629 0.2788
O14 O 0.8800 0.6872 0.2884
```



(2)
Structure and simulated PXRD pattern of Li7Mn4CoO12 (the GGA+U geometry in the Materials Project; λ = 1.5418 Å (Cu Kα)).
No peak broadening, texture or thermal motion is included.

Top 10 peaks for 2θ from 5° to 70°, by angle:
2θ (°)  Rel. int.  hkl
11.92  13.4  0 1 1
18.27  100.0  0 1 -1
33.94  17.9  1 1 2
36.38  21.1  -1 1 2
40.68  34.6  1 0 3
44.30  26.5  1 0 -3
44.46  25.4  0 4 2
61.61  7.9  0 0 6
61.79  8.2  2 0 0
62.12  8.1  1 -4 1

Atomic structure:
```
data_Li7Mn4CoO12
_chemical_formula_sum 'Li7 Mn4 Co1 O12'
_cell_length_a 3.0131
_cell_length_b 8.1529
_cell_length_c 9.9213
_cell_angle_alpha 65.98
_cell_angle_beta 85.35
_cell_angle_gamma 89.03
_space_group_name_H-M_alt 'P 1'
_space_group_IT_number 1
_space_group_name_Hall 'P 1'
loop_
_atom_site_label
_atom_site_type_symbol
_atom_site_fract_x
_atom_site_fract_y
_atom_site_fract_z
Li1 Li 0.0000 0.0000 0.0000
Li2 Li 0.0027 0.6552 0.6678
Li3 Li 0.0080 0.4863 0.0078
Li4 Li 0.4846 0.8179 0.8324
Li5 Li 0.4905 0.1813 0.1577
Li6 Li 0.5060 0.4915 0.5075
Li7 Li 0.9806 0.3336 0.3202
Mn1 Mn 0.4893 0.6570 0.1584
Mn2 Mn 0.4902 0.9969 0.4997
Mn3 Mn 0.9837 0.8335 0.3264
Mn4 Mn 0.9972 0.1646 0.6698
Co1 Co 0.5064 0.3371 0.8405
O1 O 0.0190 0.7346 0.0188
O2 O 0.0214 0.2543 0.9837
O3 O 0.0281 0.9218 0.6672
O4 O 0.4582 0.8982 0.1698
O5 O 0.4642 0.2337 0.5068
O6 O 0.4893 0.5561 0.8280
O7 O 0.5000 0.4288 0.1662
O8 O 0.5206 0.7587 0.4909
O9 O 0.5216 0.1036 0.8287
O10 O 0.9601 0.0695 0.3370
O11 O 0.9611 0.5983 0.3088
O12 O 0.9729 0.4021 0.6709
```